Record 1
Structure and simulated X-ray powder pattern of NbZnNi6 (a cell relaxed with PBE; Cu Kα).
No peak broadening, texture or thermal motion is included.

a b c (Å): 3.6420 3.6420 7.1456
angles (deg): 90.00 90.00 90.00
Positions (direct):
Nb 0.0000 0.0000 0.0000
Zn 0.0000 0.0000 0.5000
Ni 0.0000 0.5000 0.2541
Ni 0.0000 0.5000 0.7459
Ni 0.5000 0.0000 0.2541
Ni 0.5000 0.0000 0.7459
Ni 0.5000 0.5000 0.0000
Ni 0.5000 0.5000 0.5000

Main lines, in order of rising 2θ (2θ = 5–70°):
12.39°, I 1
24.44°, I 1
27.49°, I 1
35.19°, I 1
43.31°, I 100
50.09°, I 32
51.13°, I 15



Record 2
Structure and simulated X-ray powder pattern of Nb4O5 (a cell relaxed with PBE; Cu Kα).
No peak broadening, texture or thermal motion is included.

a b c (Å): 3.7534 3.7534 7.5076
angles (deg): 90.00 90.00 90.00
Positions (direct):
Nb 0.0000 0.0000 0.0000
Nb 0.0000 0.0000 0.5000
Nb 0.5000 0.5000 0.2017
Nb 0.5000 0.5000 0.7983
O 0.0000 0.5000 0.3019
O 0.0000 0.5000 0.6981
O 0.5000 0.0000 0.3019
O 0.5000 0.0000 0.6981
O 0.5000 0.5000 0.5000

Main lines, in order of rising 2θ (2θ = 5–70°):
26.55°, I 2
33.77°, I 100
35.89°, I 4
41.68°, I 3
43.46°, I 8
48.51°, I 27
50.10°, I 9
54.68°, I 2
56.15°, I 1
60.41°, I 32
61.79°, I 2
67.15°, I 7



Record 3
Structure and simulated X-ray powder pattern of NbP2O7 (a cell relaxed with PBE; Cu Kα).
No peak broadening, texture or thermal motion is included.

a b c (Å): 8.3401 8.3401 8.3401
angles (deg): 90.00 90.00 90.00
Positions (direct):
Nb 0.0000 0.0000 0.0000
Nb 0.0000 0.5000 0.5000
Nb 0.5000 0.0000 0.5000
Nb 0.5000 0.5000 0.0000
P 0.1097 0.6097 0.8903
P 0.1097 0.8903 0.3903
P 0.3903 0.1097 0.8903
P 0.3903 0.3903 0.3903
P 0.6097 0.6097 0.6097
P 0.6097 0.8903 0.1097
P 0.8903 0.1097 0.6097
P 0.8903 0.3903 0.1097
O 0.0000 0.0000 0.5000
O 0.0000 0.5000 0.0000
O 0.0558 0.7188 0.4124
O 0.0558 0.7812 0.9124
O 0.0876 0.5558 0.7188
O 0.0876 0.9442 0.2188
O 0.2188 0.0876 0.9442
O 0.2188 0.4124 0.4442
O 0.2812 0.5876 0.9442
O 0.2812 0.9124 0.4442
O 0.4124 0.0558 0.7188
O 0.4124 0.4442 0.2188
O 0.4442 0.2188 0.4124
O 0.4442 0.2812 0.9124
O 0.5000 0.0000 0.0000
O 0.5000 0.5000 0.5000
O 0.5558 0.7188 0.0876
O 0.5558 0.7812 0.5876
O 0.5876 0.5558 0.7812
O 0.5876 0.9442 0.2812
O 0.7188 0.0876 0.5558
O 0.7188 0.4124 0.0558
O 0.7812 0.5876 0.5558
O 0.7812 0.9124 0.0558
O 0.9124 0.0558 0.7812
O 0.9124 0.4442 0.2812
O 0.9442 0.2188 0.0876
O 0.9442 0.2812 0.5876

Main lines, in order of rising 2θ (2θ = 5–70°):
18.43°, I 42
21.31°, I 100
23.86°, I 36
26.17°, I 36
30.31°, I 34
35.71°, I 39
37.35°, I 11
48.83°, I 30
53.85°, I 26
57.41°, I 26
63.05°, I 11
67.37°, I 11



Record 4
Structure and simulated X-ray powder pattern of Nb2P4O15 (a cell relaxed with PBE; Cu Kα).
No peak broadening, texture or thermal motion is included.

a b c (Å): 6.6193 8.3978 10.8507
angles (deg): 74.04 89.05 89.60
Positions (direct):
Nb 0.2272 0.2914 0.1538
Nb 0.2581 0.3005 0.6448
Nb 0.7419 0.6995 0.3552
Nb 0.7728 0.7086 0.8462
P 0.0658 0.6816 0.5929
P 0.1214 0.9104 0.1216
P 0.3749 0.9154 0.6243
P 0.4340 0.6788 0.1031
P 0.5660 0.3212 0.8969
P 0.6251 0.0846 0.3757
P 0.8786 0.0896 0.8784
P 0.9342 0.3184 0.4071
O 0.0000 0.0000 0.0000
O 0.0003 0.2216 0.7913
O 0.9997 0.7784 0.2087
O 0.0067 0.3277 0.5366
O 0.0086 0.3266 0.0648
O 0.1061 0.2742 0.3273
O 0.1894 0.5332 0.6633
O 0.2045 0.8415 0.5555
O 0.2175 0.0388 0.1779
O 0.2705 0.0483 0.6742
O 0.2993 0.8402 0.0502
O 0.2996 0.5295 0.1513
O 0.4316 0.3385 0.5186
O 0.4344 0.3253 0.0107
O 0.4460 0.2850 0.7895
O 0.4895 0.7900 0.7208
O 0.5000 0.0000 0.5000
O 0.5105 0.2100 0.2792
O 0.5540 0.7150 0.2105
O 0.5656 0.6747 0.9893
O 0.5684 0.6615 0.4814
O 0.7004 0.4705 0.8487
O 0.7007 0.1598 0.9498
O 0.7295 0.9517 0.3258
O 0.7825 0.9612 0.8221
O 0.7955 0.1585 0.4445
O 0.8106 0.4668 0.3367
O 0.8939 0.7258 0.6727
O 0.9914 0.6734 0.9352
O 0.9933 0.6723 0.4634

Main lines, in order of rising 2θ (2θ = 5–70°):
17.32°, I 58
21.53°, I 94
21.86°, I 100
22.02°, I 38
23.88°, I 16
25.14°, I 14
25.34°, I 13
25.88°, I 14
33.29°, I 17
35.33°, I 17
35.66°, I 18
36.03°, I 18



Record 5
Structure and simulated X-ray powder pattern of Nb2P3O12 (a cell relaxed with PBE; Cu Kα).
No peak broadening, texture or thermal motion is included.

a b c (Å): 8.8335 8.8335 8.8335
angles (deg): 59.57 59.57 59.57
Positions (direct):
Nb 0.1379 0.1379 0.1379
Nb 0.3621 0.3621 0.3621
Nb 0.6379 0.6379 0.6379
Nb 0.8621 0.8621 0.8621
P 0.0340 0.7500 0.4660
P 0.2500 0.5340 0.9660
P 0.4660 0.0340 0.7500
P 0.5340 0.9660 0.2500
P 0.7500 0.4660 0.0340
P 0.9660 0.2500 0.5340
O 0.0023 0.7920 0.6300
O 0.0566 0.9159 0.2844
O 0.0841 0.7156 0.9434
O 0.1300 0.2920 0.5023
O 0.2080 0.3700 0.9977
O 0.2156 0.5841 0.4434
O 0.2844 0.0566 0.9159
O 0.2920 0.5023 0.1300
O 0.3700 0.9977 0.2080
O 0.4159 0.5566 0.7844
O 0.4434 0.2156 0.5841
O 0.4977 0.8700 0.7080
O 0.5023 0.1300 0.2920
O 0.5566 0.7844 0.4159
O 0.5841 0.4434 0.2156
O 0.6300 0.0023 0.7920
O 0.7080 0.4977 0.8700
O 0.7156 0.9434 0.0841
O 0.7844 0.4159 0.5566
O 0.7920 0.6300 0.0023
O 0.8700 0.7080 0.4977
O 0.9159 0.2844 0.0566
O 0.9434 0.0841 0.7156
O 0.9977 0.2080 0.3700

Main lines, in order of rising 2θ (2θ = 5–70°):
14.23°, I 32
20.11°, I 100
20.24°, I 68
23.71°, I 67
28.68°, I 63
32.06°, I 30
35.39°, I 59
46.01°, I 25
46.20°, I 18
52.86°, I 14
55.18°, I 13
55.37°, I 37



Record 6
Structure and simulated X-ray powder pattern of Nb9PO25 (a cell relaxed with PBE; Cu Kα).
No peak broadening, texture or thermal motion is included.

a b c (Å): 11.2790 11.2790 11.2790
angles (deg): 91.66 91.66 160.37
Positions (direct):
Nb 0.0000 0.0000 0.0000
Nb 0.1121 0.2208 0.3283
Nb 0.1205 0.6776 0.7826
Nb 0.2162 0.8879 0.1087
Nb 0.3224 0.1050 0.4429
Nb 0.6621 0.8795 0.5571
Nb 0.7792 0.1075 0.8913
Nb 0.8925 0.7838 0.6717
Nb 0.8950 0.3379 0.2174
P 0.7500 0.2500 0.5000
O 0.0191 0.7298 0.7305
O 0.0378 0.5199 0.6145
O 0.0540 0.1142 0.1699
O 0.1159 0.9460 0.0602
O 0.1592 0.3610 0.5104
O 0.1615 0.7634 0.9544
O 0.2366 0.1910 0.3981
O 0.2428 0.6075 0.8598
O 0.2702 0.0007 0.2893
O 0.3512 0.8408 0.2018
O 0.3925 0.2524 0.6353
O 0.4801 0.0946 0.5179
O 0.5000 0.5000 0.0000
O 0.5767 0.9622 0.4821
O 0.6170 0.7572 0.3647
O 0.6390 0.1494 0.7982
O 0.7114 0.9809 0.7107
O 0.7476 0.3830 0.1402
O 0.7929 0.8385 0.6019
O 0.8090 0.2071 0.0456
O 0.8506 0.6488 0.4896
O 0.8858 0.0557 0.9398
O 0.9054 0.4233 0.3855
O 0.9443 0.8841 0.8301
O 0.9993 0.2886 0.2695

Main lines, in order of rising 2θ (2θ = 5–70°):
17.85°, I 34
23.82°, I 51
25.34°, I 100
26.42°, I 22
31.01°, I 48
33.09°, I 16
36.14°, I 17
43.87°, I 25
47.28°, I 17
52.64°, I 25
54.40°, I 19
58.00°, I 17



Record 7
Structure and simulated X-ray powder pattern of NbTlP2O8 (a cell relaxed with PBE; Cu Kα).
No peak broadening, texture or thermal motion is included.

a b c (Å): 5.0191 5.0191 8.2470
angles (deg): 92.87 92.87 63.07
Positions (direct):
Nb 0.0000 0.0000 0.0000
Tl 0.0000 0.0000 0.5000
P 0.3600 0.3600 0.2103
P 0.6400 0.6400 0.7897
O 0.2201 0.2201 0.0786
O 0.2242 0.6975 0.1677
O 0.3025 0.7758 0.8323
O 0.3134 0.3134 0.3814
O 0.6866 0.6866 0.6186
O 0.6975 0.2242 0.1677
O 0.7758 0.3025 0.8323
O 0.7799 0.7799 0.9214

Main lines, in order of rising 2θ (2θ = 5–70°):
19.85°, I 100
20.80°, I 65
21.59°, I 36
22.91°, I 65
29.03°, I 88
29.95°, I 63
31.05°, I 22
34.16°, I 29
35.88°, I 56
40.77°, I 24
45.56°, I 24
49.26°, I 29



Record 8
Structure and simulated X-ray powder pattern of NbTlP2O8 (a cell relaxed with PBE; Cu Kα).
No peak broadening, texture or thermal motion is included.

a b c (Å): 5.0040 12.8416 11.7861
angles (deg): 90.00 111.26 90.00
Positions (direct):
Nb 0.1007 0.0716 0.2936
Nb 0.1007 0.4284 0.7936
Nb 0.8993 0.5716 0.2064
Nb 0.8993 0.9284 0.7064
Tl 0.2899 0.1136 0.9775
Tl 0.2899 0.3864 0.4775
Tl 0.7101 0.6136 0.5225
Tl 0.7101 0.8864 0.0225
P 0.2924 0.0886 0.6117
P 0.2924 0.4114 0.1117
P 0.4133 0.7492 0.2106
P 0.4133 0.7508 0.7106
P 0.5867 0.2492 0.2894
P 0.5867 0.2508 0.7894
P 0.7076 0.5886 0.8883
P 0.7076 0.9114 0.3883
O 0.0584 0.0542 0.1393
O 0.0584 0.4458 0.6393
O 0.1017 0.1015 0.4808
O 0.1017 0.3985 0.9808
O 0.1389 0.0564 0.6987
O 0.1389 0.4436 0.1987
O 0.2402 0.6698 0.6254
O 0.2402 0.8302 0.1254
O 0.2552 0.6600 0.2468
O 0.2552 0.8400 0.7468
O 0.3490 0.2022 0.3294
O 0.3490 0.2978 0.8294
O 0.4152 0.2029 0.6545
O 0.4152 0.2971 0.1545
O 0.4520 0.5163 0.8704
O 0.4520 0.9837 0.3704
O 0.5480 0.0163 0.6296
O 0.5480 0.4837 0.1296
O 0.5848 0.7029 0.8455
O 0.5848 0.7971 0.3455
O 0.6510 0.7022 0.1706
O 0.6510 0.7978 0.6706
O 0.7448 0.1600 0.2532
O 0.7448 0.3400 0.7532
O 0.7598 0.1698 0.8746
O 0.7598 0.3302 0.3746
O 0.8611 0.5564 0.8013
O 0.8611 0.9436 0.3013
O 0.8983 0.6015 0.0192
O 0.8983 0.8985 0.5192
O 0.9416 0.5542 0.3607
O 0.9416 0.9458 0.8607

Main lines, in order of rising 2θ (2θ = 5–70°):
10.60°, I 77
20.26°, I 72
21.19°, I 44
25.29°, I 84
27.15°, I 62
28.05°, I 40
28.30°, I 100
28.56°, I 70
32.30°, I 41
38.98°, I 33
39.09°, I 45
43.04°, I 35



Record 9
Structure and simulated X-ray powder pattern of Nb2Pb2O5 (a cell relaxed with PBE; Cu Kα).
No peak broadening, texture or thermal motion is included.

a b c (Å): 3.4356 3.4356 11.0189
angles (deg): 90.00 90.00 90.00
Positions (direct):
Nb 0.0000 0.0000 0.0000
Nb 0.0000 0.0000 0.5000
Pb 0.5000 0.5000 0.2476
Pb 0.5000 0.5000 0.7524
O 0.0000 0.5000 0.3900
O 0.0000 0.5000 0.6100
O 0.5000 0.0000 0.3900
O 0.5000 0.0000 0.6100
O 0.5000 0.5000 0.0000

Main lines, in order of rising 2θ (2θ = 5–70°):
16.09°, I 10
25.93°, I 12
30.67°, I 100
32.50°, I 19
37.00°, I 27
40.59°, I 7
42.04°, I 7
50.06°, I 34
53.33°, I 14
56.85°, I 18
62.79°, I 27
63.86°, I 12



What did the fifth record say?
Structure and simulated X-ray powder pattern of Nb2P3O12 (a cell relaxed with PBE; Cu Kα).
No peak broadening, texture or thermal motion is included.

a b c (Å): 8.8335 8.8335 8.8335
angles (deg): 59.57 59.57 59.57
Positions (direct):
Nb 0.1379 0.1379 0.1379
Nb 0.3621 0.3621 0.3621
Nb 0.6379 0.6379 0.6379
Nb 0.8621 0.8621 0.8621
P 0.0340 0.7500 0.4660
P 0.2500 0.5340 0.9660
P 0.4660 0.0340 0.7500
P 0.5340 0.9660 0.2500
P 0.7500 0.4660 0.0340
P 0.9660 0.2500 0.5340
O 0.0023 0.7920 0.6300
O 0.0566 0.9159 0.2844
O 0.0841 0.7156 0.9434
O 0.1300 0.2920 0.5023
O 0.2080 0.3700 0.9977
O 0.2156 0.5841 0.4434
O 0.2844 0.0566 0.9159
O 0.2920 0.5023 0.1300
O 0.3700 0.9977 0.2080
O 0.4159 0.5566 0.7844
O 0.4434 0.2156 0.5841
O 0.4977 0.8700 0.7080
O 0.5023 0.1300 0.2920
O 0.5566 0.7844 0.4159
O 0.5841 0.4434 0.2156
O 0.6300 0.0023 0.7920
O 0.7080 0.4977 0.8700
O 0.7156 0.9434 0.0841
O 0.7844 0.4159 0.5566
O 0.7920 0.6300 0.0023
O 0.8700 0.7080 0.4977
O 0.9159 0.2844 0.0566
O 0.9434 0.0841 0.7156
O 0.9977 0.2080 0.3700

Main lines, in order of rising 2θ (2θ = 5–70°):
14.23°, I 32
20.11°, I 100
20.24°, I 68
23.71°, I 67
28.68°, I 63
32.06°, I 30
35.39°, I 59
46.01°, I 25
46.20°, I 18
52.86°, I 14
55.18°, I 13
55.37°, I 37